Record 1
Diffraction record for Zr5Mn2As5. The XRD peak list is computed, not measured: it uses a crystal structure in Alexandria, relaxed with GGA-PBE and Cu Kα (weighted mean of Kα1 and Kα2).
No peak broadening, texture or thermal motion is included.

Atomic structure:
Lattice parameters (Å, degrees): 8.7366 8.7366 6.3781 90.00 90.00 90.00
Space group I4mm (No. 107)
One atom of each set of equivalent atoms:
1 Zr 0.0000 0.0000 0.0000 x2
2 Zr 0.2046 0.2046 0.5613 x8
3 Mn 0.0000 0.5000 0.1293 x4
4 As 0.0000 0.0000 0.4140 x2
5 As 0.0000 0.2924 0.8779 x8

Peak list (10 most intense, 2θ = 5–70°, in order of falling intensity)
| h k l | 2θ/deg | d (Å) | I_rel |
| --- | --- | --- | --- |
| 3 0 1 | 33.84 | 2.649 | 100 |
| 2 2 2 | 40.66 | 2.219 | 87 |
| 2 1 1 | 26.76 | 3.332 | 61 |
| 4 0 0 | 41.34 | 2.184 | 55 |
| 2 1 3 | 48.76 | 1.867 | 44 |
| 3 1 2 | 43.33 | 2.088 | 43 |
| 0 0 2 | 27.98 | 3.189 | 29 |
| 5 0 1 | 54.45 | 1.685 | 28 |
| 2 2 0 | 28.91 | 3.089 | 26 |
| 3 3 0 | 43.97 | 2.059 | 25 |



Record 2
Diffraction record for ZrTiRh6. The XRD peak list is computed, not measured: it uses a crystal structure in Alexandria, relaxed with GGA-PBE and Cu Kα (weighted mean of Kα1 and Kα2).
No peak broadening, texture or thermal motion is included.

Atomic structure:
Lattice parameters (Å, degrees): 8.7148 3.9334 7.8914 90.00 116.79 90.00
Space group C2/m (No. 12)
One atom of each set of equivalent atoms:
1 Zr 0.0000 0.0000 0.0000 x2
2 Ti 0.0000 0.0000 0.5000 x2
3 Rh 0.0006 0.5000 0.7413 x4
4 Rh 0.2459 0.0000 0.8671 x4
5 Rh 0.2475 0.5000 0.6189 x4

Peak list (10 most intense, 2θ = 5–70°, in order of falling intensity)
| h k l | 2θ/deg | d (Å) | I_rel |
| --- | --- | --- | --- |
| 3 1 -2 | 39.80 | 2.265 | 100 |
| 0 2 0 | 46.16 | 1.967 | 16 |
| 2 0 -4 | 46.00 | 1.973 | 16 |
| 4 0 0 | 46.70 | 1.945 | 16 |
| 4 2 0 | 67.75 | 1.383 | 15 |
| 2 2 -4 | 67.21 | 1.393 | 10 |
| 2 0 4 | 67.55 | 1.387 | 5 |
| 0 0 2 | 25.34 | 3.515 | 3 |
| 1 1 1 | 30.68 | 2.914 | 1 |
| 3 1 0 | 41.70 | 2.166 | 1 |



Record 3
Diffraction record for Nd3CuSnSe7. The XRD peak list is computed, not measured: it uses a crystal structure in Alexandria, relaxed with GGA-PBE and Cu Kα (weighted mean of Kα1 and Kα2).
No peak broadening, texture or thermal motion is included.

Atomic structure:
Lattice parameters (Å, degrees): 10.6125 10.6125 6.4050 90.00 90.00 120.00
Space group P6_3 (No. 173)
One atom of each set of equivalent atoms:
1 Nd 0.1388 0.7830 0.0000 x6
2 Cu 0.0000 0.0000 0.0583 x2
3 Sn 0.3333 0.6667 0.4235 x2
4 Se 0.0837 0.5138 0.2485 x6
5 Se 0.1033 0.8453 0.5428 x6
6 Se 0.3333 0.6667 0.8186 x2

Peak list (10 most intense, 2θ = 5–70°, in order of falling intensity)
| h k l | 2θ/deg | d (Å) | I_rel |
| --- | --- | --- | --- |
| 2 2 0 | 33.78 | 2.653 | 100 |
| 2 0 2 | 34.12 | 2.627 | 59 |
| 2 0 1 | 23.83 | 3.734 | 58 |
| 1 0 2 | 29.54 | 3.024 | 51 |
| 2 1 1 | 29.25 | 3.054 | 45 |
| 3 0 1 | 32.39 | 2.764 | 38 |
| 2 1 2 | 38.22 | 2.355 | 37 |
| 3 1 0 | 35.21 | 2.549 | 35 |
| 2 2 2 | 44.34 | 2.043 | 29 |
| 1 3 1 | 37.99 | 2.368 | 26 |



Record 4
Diffraction record for PrPu3Mn3. The XRD peak list is computed, not measured: it uses a crystal structure in Alexandria, relaxed with GGA-PBE and Cu Kα (weighted mean of Kα1 and Kα2).
No peak broadening, texture or thermal motion is included.

Atomic structure:
Lattice parameters (Å, degrees): 6.8063 6.8063 6.8063 90.00 90.00 90.00
Space group Pm-3n (No. 223)
One atom of each set of equivalent atoms:
1 Pr 0.0000 0.0000 0.0000 x2
2 Pu 0.0000 0.2500 0.5000 x6
3 Mn 0.0000 0.5000 0.2500 x6

Peak list (10 most intense, 2θ = 5–70°, in order of falling intensity)
| h k l | 2θ/deg | d (Å) | I_rel |
| --- | --- | --- | --- |
| 2 1 1 | 32.22 | 2.779 | 100 |
| 2 1 0 | 29.34 | 3.044 | 84 |
| 3 2 1 | 50.15 | 1.819 | 58 |
| 2 0 0 | 26.19 | 3.403 | 42 |
| 2 2 2 | 46.20 | 1.965 | 35 |
| 4 0 0 | 53.88 | 1.702 | 32 |
| 3 2 0 | 48.21 | 1.888 | 23 |
| 1 1 0 | 18.43 | 4.813 | 23 |
| 4 2 1 | 62.54 | 1.485 | 22 |
| 4 2 0 | 60.87 | 1.522 | 16 |



Record 5
Diffraction record for Tl2SbI2Cl4. The XRD peak list is computed, not measured: it uses a crystal structure in Alexandria, relaxed with GGA-PBE and Cu Kα (weighted mean of Kα1 and Kα2).
No peak broadening, texture or thermal motion is included.

Atomic structure:
Lattice parameters (Å, degrees): 7.4905 7.4905 11.0022 90.00 90.00 90.00
Space group I4/mmm (No. 139)
One atom of each set of equivalent atoms:
1 Tl 0.0000 0.5000 0.2500 x4
2 Sb 0.0000 0.0000 0.0000 x2
3 I 0.0000 0.0000 0.2655 x4
4 Cl 0.2403 0.2403 0.0000 x8

Peak list (10 most intense, 2θ = 5–70°, in order of falling intensity)
| h k l | 2θ/deg | d (Å) | I_rel |
| --- | --- | --- | --- |
| 2 0 2 | 28.84 | 3.096 | 100 |
| 2 0 0 | 23.76 | 3.745 | 69 |
| 2 2 0 | 33.85 | 2.648 | 61 |
| 2 2 4 | 47.67 | 1.908 | 44 |
| 2 0 4 | 40.70 | 2.217 | 33 |
| 0 0 4 | 32.55 | 2.751 | 33 |
| 0 0 2 | 16.11 | 5.501 | 30 |
| 1 1 2 | 23.31 | 3.816 | 28 |
| 4 2 2 | 57.52 | 1.602 | 27 |
| 4 0 4 | 59.74 | 1.548 | 22 |



What is the formula in the third record?
Nd3CuSnSe7